Diffraction record for Nd2Co19Si3. The PXRD pattern is theoretical, not measured: it uses a GGA-PBE-relaxed structure and Cu Kα X-rays.
Intensities are scaled so that the largest is 100.

Structural model:
```
Nd2Co19Si3
1.0
5.7506 -4.8848 0.0000
5.7506 4.8848 0.0000
-3.3861 0.0000 5.2845
Nd Co Si
2 19 3
direct
0.2481 0.2481 0.3733 Nd
0.7519 0.7519 0.6267 Nd
0.0000 0.0000 0.5000 Co
0.0806 0.6674 0.4373 Co
0.0815 0.8295 0.1421 Co
0.1698 0.5790 0.8105 Co
0.1705 0.9185 0.8579 Co
0.2476 0.2476 0.8744 Co
0.3314 0.5802 0.2694 Co
0.3326 0.9194 0.5627 Co
0.4198 0.6686 0.7306 Co
0.4210 0.8302 0.1895 Co
0.5790 0.1698 0.8105 Co
0.5802 0.3314 0.2694 Co
0.6674 0.0806 0.4373 Co
0.6686 0.4198 0.7306 Co
0.7524 0.7524 0.1256 Co
0.8295 0.0815 0.1421 Co
0.8302 0.4210 0.1895 Co
0.9185 0.1705 0.8579 Co
0.9194 0.3326 0.5627 Co
0.0000 0.5000 0.0000 Si
0.5000 0.0000 0.0000 Si
0.5000 0.5000 0.0000 Si
```

Main lines, sorted by position (2θ from 5° to 70°):
25.91°, rel. 22; 31.26°, rel. 21; 36.16°, rel. 24; 40.96°, rel. 43; 41.05°, rel. 100; 41.37°, rel. 98; 41.64°, rel. 69; 44.26°, rel. 39; 47.18°, rel. 24; 48.84°, rel. 24

***

Diffraction record for LiCe2Os. The PXRD pattern is theoretical, not measured: it uses a GGA-PBE-relaxed structure and Cu Kα X-rays.
Intensities are scaled so that the largest is 100.

Structural model:
```
LiCe2Os
1.0
0.0000 3.5127 3.5127
3.5127 0.0000 3.5127
3.5127 3.5127 0.0000
Li Ce Os
1 2 1
direct
0.0000 0.0000 0.0000 Li
0.2500 0.2500 0.2500 Ce
0.7500 0.7500 0.7500 Ce
0.5000 0.5000 0.5000 Os
```

Main lines, sorted by position (2θ from 5° to 70°):
21.91°, rel. 35; 25.36°, rel. 4; 36.16°, rel. 100; 42.69°, rel. 19; 44.68°, rel. 1; 52.07°, rel. 18; 57.15°, rel. 8; 58.78°, rel. 2; 65.04°, rel. 36; 69.53°, rel. 6

***

Diffraction record for CeSe2. The PXRD pattern is theoretical, not measured: it uses a GGA-PBE-relaxed structure and Cu Kα X-rays.
Intensities are scaled so that the largest is 100.

Structural model:
```
CeSe2
1.0
19.1662 0.0000 0.0000
0.0000 19.2996 0.0000
0.0000 0.0000 8.7274
Ce Se
16 32
direct
0.0766 0.1548 0.2600 Ce
0.0979 0.7008 0.0290 Ce
0.1553 0.9237 0.2363 Ce
0.2005 0.5973 0.5280 Ce
0.2995 0.0973 0.4720 Ce
0.3447 0.4237 0.7637 Ce
0.4021 0.2008 0.9710 Ce
0.4234 0.6548 0.7400 Ce
0.5766 0.3452 0.7400 Ce
0.5979 0.7992 0.9710 Ce
0.6553 0.5763 0.7637 Ce
0.7005 0.9027 0.4720 Ce
0.7995 0.4027 0.5280 Ce
0.8447 0.0763 0.2363 Ce
0.9021 0.2992 0.0290 Ce
0.9234 0.8452 0.2600 Ce
0.0377 0.2640 0.0811 Se
0.0443 0.8799 0.4057 Se
0.1100 0.6390 0.7489 Se
0.1203 0.0440 0.0910 Se
0.1383 0.6089 0.2482 Se
0.1793 0.8162 0.0408 Se
0.1837 0.1792 0.4569 Se
0.2361 0.4629 0.5817 Se
0.2639 0.9629 0.4183 Se
0.3163 0.6792 0.5431 Se
0.3207 0.3162 0.9592 Se
0.3617 0.1089 0.7518 Se
0.3797 0.5440 0.9090 Se
0.3900 0.1390 0.2511 Se
0.4557 0.3799 0.5943 Se
0.4623 0.7640 0.9189 Se
0.5377 0.2360 0.9189 Se
0.5443 0.6201 0.5943 Se
0.6100 0.8610 0.2511 Se
0.6203 0.4560 0.9090 Se
0.6383 0.8911 0.7518 Se
0.6793 0.6838 0.9592 Se
0.6837 0.3208 0.5431 Se
0.7361 0.0371 0.4183 Se
0.7639 0.5371 0.5817 Se
0.8163 0.8208 0.4569 Se
0.8207 0.1838 0.0408 Se
0.8617 0.3911 0.2482 Se
0.8797 0.9560 0.0910 Se
0.8900 0.3610 0.7489 Se
0.9557 0.1201 0.4057 Se
0.9623 0.7360 0.0811 Se
```

Main lines, sorted by position (2θ from 5° to 70°):
6.50°, rel. 19; 10.28°, rel. 52; 11.13°, rel. 100; 13.70°, rel. 31; 14.46°, rel. 16; 16.62°, rel. 16; 17.78°, rel. 31; 19.50°, rel. 30; 26.39°, rel. 15; 41.38°, rel. 19

***

Diffraction record for PtF4. The PXRD pattern is theoretical, not measured: it uses a GGA-PBE-relaxed structure and Cu Kα X-rays.
Intensities are scaled so that the largest is 100.

Structural model:
```
PtF4
1.0
5.6042 0.0000 0.0000
-2.4139 5.0577 0.0000
-1.5952 -2.5289 4.8417
Pt F
2 8
direct
0.0000 0.0000 0.0000 Pt
0.2602 0.7536 0.5082 Pt
0.0226 0.2404 0.8304 F
0.0241 0.2903 0.3230 F
0.4305 0.1888 0.1828 F
0.4398 0.1579 0.6762 F
0.5008 0.7638 0.3296 F
0.5283 0.7576 0.8190 F
0.9473 0.7056 0.1783 F
0.9652 0.6960 0.6877 F
```

Main lines, sorted by position (2θ from 5° to 70°):
19.80°, rel. 100; 26.31°, rel. 50; 32.92°, rel. 27; 33.38°, rel. 25; 35.28°, rel. 16; 35.50°, rel. 20; 42.81°, rel. 13; 52.32°, rel. 16; 52.79°, rel. 19; 54.16°, rel. 10

***

Diffraction record for ErAl10Ru2. The PXRD pattern is theoretical, not measured: it uses a GGA-PBE-relaxed structure and Cu Kα X-rays.
Intensities are scaled so that the largest is 100.

Structural model:
```
ErAl10Ru2
1.0
4.5602 -5.1244 0.0000
4.5602 5.1244 0.0000
0.0000 0.0000 9.1446
Er Al Ru
2 20 4
direct
0.1273 0.8727 0.7500 Er
0.8727 0.1273 0.2500 Er
0.1395 0.4147 0.7500 Al
0.1560 0.8440 0.0993 Al
0.1560 0.8440 0.4007 Al
0.2219 0.4796 0.2500 Al
0.2268 0.2268 0.0000 Al
0.2268 0.2268 0.5000 Al
0.3762 0.6238 0.5498 Al
0.3762 0.6238 0.9502 Al
0.4147 0.1395 0.2500 Al
0.4796 0.2219 0.7500 Al
0.5204 0.7781 0.2500 Al
0.5853 0.8605 0.7500 Al
0.6238 0.3762 0.0498 Al
0.6238 0.3762 0.4502 Al
0.7732 0.7732 0.0000 Al
0.7732 0.7732 0.5000 Al
0.7781 0.5204 0.7500 Al
0.8440 0.1560 0.5993 Al
0.8440 0.1560 0.9007 Al
0.8605 0.5853 0.2500 Al
0.0000 0.5000 0.0000 Ru
0.0000 0.5000 0.5000 Ru
0.5000 0.0000 0.0000 Ru
0.5000 0.0000 0.5000 Ru
```

Main lines, sorted by position (2θ from 5° to 70°):
16.22°, rel. 33; 17.30°, rel. 36; 26.14°, rel. 30; 27.63°, rel. 56; 27.94°, rel. 35; 34.22°, rel. 34; 39.41°, rel. 32; 39.52°, rel. 34; 39.68°, rel. 53; 40.36°, rel. 100

***

Diffraction record for ZrCl2. The PXRD pattern is theoretical, not measured: it uses a GGA-PBE-relaxed structure and Cu Kα X-rays.
Intensities are scaled so that the largest is 100.

Structural model:
```
ZrCl2
1.0
1.7084 0.9863 6.9058
-1.7084 0.9863 6.9058
0.0000 -1.9727 6.9058
Zr Cl
1 2
direct
0.0000 0.0000 0.0000 Zr
0.5836 0.5836 0.5836 Cl
0.7497 0.7497 0.7497 Cl
```

Main lines, sorted by position (2θ from 5° to 70°):
12.82°, rel. 100; 30.52°, rel. 29; 31.44°, rel. 26; 34.92°, rel. 39; 37.34°, rel. 44; 43.24°, rel. 28; 46.61°, rel. 17; 53.04°, rel. 7; 53.65°, rel. 21; 55.40°, rel. 13

***

Diffraction record for MgBi2O4. The PXRD pattern is theoretical, not measured: it uses a GGA-PBE-relaxed structure and Cu Kα X-rays.
Intensities are scaled so that the largest is 100.

Structural model:
```
MgBi2O4
1.0
10.6719 0.0000 0.0000
0.0000 3.3603 0.0000
0.0000 0.0000 11.6192
Mg Bi O
4 8 16
direct
0.2182 0.2500 0.1426 Mg
0.2818 0.7500 0.6426 Mg
0.7182 0.2500 0.3574 Mg
0.7818 0.7500 0.8574 Mg
0.0825 0.2500 0.8784 Bi
0.1004 0.2500 0.3975 Bi
0.3996 0.7500 0.8975 Bi
0.4175 0.7500 0.3784 Bi
0.5825 0.2500 0.6216 Bi
0.6004 0.2500 0.1025 Bi
0.8996 0.7500 0.6025 Bi
0.9175 0.7500 0.1216 Bi
0.0327 0.2500 0.2014 O
0.0348 0.2500 0.5899 O
0.1931 0.7500 0.0228 O
0.2409 0.2500 0.7631 O
0.2591 0.7500 0.2631 O
0.3069 0.2500 0.5228 O
0.4652 0.7500 0.0899 O
0.4673 0.7500 0.7014 O
0.5327 0.2500 0.2986 O
0.5348 0.2500 0.9101 O
0.6931 0.7500 0.4772 O
0.7409 0.2500 0.7369 O
0.7591 0.7500 0.2369 O
0.8069 0.2500 0.9772 O
0.9652 0.7500 0.4101 O
0.9673 0.7500 0.7986 O
```

Main lines, sorted by position (2θ from 5° to 70°):
16.61°, rel. 24; 17.38°, rel. 73; 29.44°, rel. 98; 30.78°, rel. 39; 31.46°, rel. 79; 31.89°, rel. 100; 43.30°, rel. 22; 44.59°, rel. 53; 53.23°, rel. 39; 63.27°, rel. 24

***

Diffraction record for KLi2O3. The PXRD pattern is theoretical, not measured: it uses a GGA-PBE-relaxed structure and Cu Kα X-rays.
Intensities are scaled so that the largest is 100.

Structural model:
```
KLi2O3
1.0
5.7942 0.0000 0.0000
0.0000 5.1821 0.0000
-2.3866 0.0000 5.3735
K Li O
2 4 6
direct
0.2376 0.2500 0.0577 K
0.7624 0.7500 0.9423 K
0.2051 0.5061 0.5262 Li
0.2051 0.9939 0.5262 Li
0.7949 0.0061 0.4738 Li
0.7949 0.4939 0.4738 Li
0.0373 0.7500 0.6505 O
0.3190 0.7500 0.3314 O
0.4700 0.2500 0.7252 O
0.5300 0.7500 0.2748 O
0.6810 0.2500 0.6686 O
0.9627 0.2500 0.3495 O
```

Main lines, sorted by position (2θ from 5° to 70°):
18.13°, rel. 9; 24.03°, rel. 19; 30.60°, rel. 15; 31.01°, rel. 17; 33.04°, rel. 100; 34.62°, rel. 40; 35.26°, rel. 42; 40.79°, rel. 19; 47.15°, rel. 17; 61.04°, rel. 11

***

Diffraction record for Mg2Si. The PXRD pattern is theoretical, not measured: it uses a GGA-PBE-relaxed structure and Cu Kα X-rays.
Intensities are scaled so that the largest is 100.

Structural model:
```
Mg2Si
1.0
4.1932 0.0000 0.0000
0.0000 4.1932 0.0000
0.0000 0.0000 6.8720
Mg Si
4 2
direct
0.2500 0.2500 0.1421 Mg
0.2500 0.7500 0.5000 Mg
0.7500 0.2500 0.5000 Mg
0.7500 0.7500 0.8579 Mg
0.2500 0.2500 0.7541 Si
0.7500 0.7500 0.2459 Si
```

Main lines, sorted by position (2θ from 5° to 70°):
30.14°, rel. 26; 32.90°, rel. 90; 33.72°, rel. 26; 39.33°, rel. 19; 40.17°, rel. 100; 43.15°, rel. 73; 45.10°, rel. 31; 59.80°, rel. 22; 62.66°, rel. 23; 64.19°, rel. 22

***

Diffraction record for SrC4S4O4. The PXRD pattern is theoretical, not measured: it uses a GGA-PBE-relaxed structure and Cu Kα X-rays.
Intensities are scaled so that the largest is 100.

Structural model:
```
SrC4S4O4
1.0
8.0239 0.0000 0.0000
0.0000 11.3187 0.0000
0.0000 0.0000 11.1485
Sr C S O
4 16 16 16
direct
0.1754 0.2500 0.2373 Sr
0.3246 0.7500 0.7373 Sr
0.6754 0.2500 0.2627 Sr
0.8246 0.7500 0.7627 Sr
0.0432 0.6872 0.4022 C
0.0432 0.8128 0.4022 C
0.0619 0.6849 0.2711 C
0.0619 0.8151 0.2711 C
0.4381 0.1849 0.7711 C
0.4381 0.3151 0.7711 C
0.4568 0.1872 0.9022 C
0.4568 0.3128 0.9022 C
0.5432 0.6872 0.0978 C
0.5432 0.8128 0.0978 C
0.5619 0.6849 0.2289 C
0.5619 0.8151 0.2289 C
0.9381 0.1849 0.7289 C
0.9381 0.3151 0.7289 C
0.9568 0.1872 0.5978 C
0.9568 0.3128 0.5978 C
0.0415 0.6028 0.5304 S
0.0415 0.8972 0.5304 S
0.0927 0.5848 0.1652 S
0.0927 0.9152 0.1652 S
0.4073 0.0848 0.6652 S
0.4073 0.4152 0.6652 S
0.4585 0.1028 0.0304 S
0.4585 0.3972 0.0304 S
0.5415 0.6028 0.9696 S
0.5415 0.8972 0.9696 S
0.5927 0.5848 0.3348 S
0.5927 0.9152 0.3348 S
0.9073 0.0848 0.8348 S
0.9073 0.4152 0.8348 S
0.9585 0.1028 0.4696 S
0.9585 0.3972 0.4696 S
0.0593 0.7500 0.6088 O
0.0860 0.7500 0.8889 O
0.1049 0.0357 0.2247 O
0.1049 0.4643 0.2247 O
0.3951 0.5357 0.7247 O
0.3951 0.9643 0.7247 O
0.4140 0.2500 0.3889 O
0.4407 0.2500 0.1088 O
0.5593 0.7500 0.8912 O
0.5860 0.7500 0.6111 O
0.6049 0.0357 0.2753 O
0.6049 0.4643 0.2753 O
0.8951 0.5357 0.7753 O
0.8951 0.9643 0.7753 O
0.9140 0.2500 0.1111 O
0.9407 0.2500 0.3912 O
```

Main lines, sorted by position (2θ from 5° to 70°):
11.14°, rel. 67; 13.60°, rel. 43; 15.66°, rel. 29; 15.90°, rel. 47; 23.57°, rel. 100; 24.90°, rel. 80; 26.43°, rel. 41; 32.85°, rel. 32; 33.83°, rel. 27; 45.95°, rel. 27

***

Diffraction record for NaPdN. The PXRD pattern is theoretical, not measured: it uses a GGA-PBE-relaxed structure and Cu Kα X-rays.
Intensities are scaled so that the largest is 100.

Structural model:
```
NaPdN
1.0
8.9257 0.0000 0.0000
0.0000 3.7349 0.0000
0.0000 0.0000 6.1859
Na Pd N
4 4 4
direct
0.1674 0.2500 0.0745 Na
0.3326 0.7500 0.5745 Na
0.6674 0.2500 0.4255 Na
0.8326 0.7500 0.9255 Na
0.0470 0.2500 0.6365 Pd
0.4530 0.7500 0.1365 Pd
0.5470 0.2500 0.8635 Pd
0.9530 0.7500 0.3635 Pd
0.0745 0.7500 0.7253 N
0.4255 0.2500 0.2253 N
0.5745 0.7500 0.7747 N
0.9255 0.2500 0.2747 N
```

Main lines, sorted by position (2θ from 5° to 70°):
17.44°, rel. 100; 19.89°, rel. 79; 24.60°, rel. 29; 27.90°, rel. 29; 31.23°, rel. 33; 33.42°, rel. 25; 34.51°, rel. 45; 39.14°, rel. 86; 42.14°, rel. 22; 43.09°, rel. 27